Record 1
TeSe3: theoretical XRD peak list (λ = 1.5418 Å (Cu Kα)), based on the GGA-PBE geometry in Alexandria.

Structural model:
```
4
Lattice="1.9343 -4.5371 0.0000 1.9343 4.5371 0.0000 0.0000 0.0000 7.7481" Properties=species:S:1:pos:R:3 pbc="T T T"
Te 0.0000 0.0000 0.0000
Se 0.0000 0.0000 3.8740
Se 1.9343 0.0000 2.0154
Se 1.9343 0.0000 5.7326
```

Peak list (10 most intense, 2θ = 10–90°, in order of rising 2θ)
- 19.57°, 4.537 Å, intensity 100
- 34.21°, 2.621 Å, intensity 95
- 39.73°, 2.269 Å, intensity 16
- 44.65°, 2.030 Å, intensity 45
- 46.94°, 1.936 Å, intensity 19
- 51.32°, 1.780 Å, intensity 29
- 61.28°, 1.513 Å, intensity 22
- 63.14°, 1.472 Å, intensity 16
- 72.08°, 1.310 Å, intensity 10
- 82.28°, 1.172 Å, intensity 15

---

Record 2
TbHoIr: theoretical XRD peak list (λ = 1.5418 Å (Cu Kα)), based on the GGA-PBE geometry in Alexandria.

Structural model:
```
9
Lattice="7.4183 0.0000 0.0000 -3.7091 6.4244 0.0000 0.0000 0.0000 4.5602" Properties=species:S:1:pos:R:3 pbc="T T T"
Tb -2.1876 3.7890 0.0000
Tb 1.5215 2.6354 0.0000
Tb 4.3752 0.0000 0.0000
Ho -0.9664 1.6739 2.2801
Ho 1.9328 0.0000 2.2801
Ho 2.7427 4.7505 2.2801
Ir 0.0000 0.0000 0.0000
Ir 0.0000 4.2829 2.2801
Ir 3.7091 2.1415 2.2801
```

Peak list (10 most intense, 2θ = 10–90°, in order of rising 2θ)
- 31.08°, 2.877 Å, intensity 88
- 34.14°, 2.626 Å, intensity 100
- 37.02°, 2.428 Å, intensity 35
- 39.52°, 2.280 Å, intensity 38
- 42.18°, 2.142 Å, intensity 77
- 55.29°, 1.662 Å, intensity 30
- 59.19°, 1.561 Å, intensity 30
- 66.68°, 1.403 Å, intensity 39
- 68.26°, 1.374 Å, intensity 14
- 87.11°, 1.119 Å, intensity 12

---

Record 3
Pm8YSi4: theoretical XRD peak list (λ = 1.5418 Å (Cu Kα)), based on the GGA-PBE geometry in Alexandria.

Structural model:
```
13
Lattice="-5.2907 5.2907 3.1412 5.2907 -5.2907 3.1412 5.2907 5.2907 -3.1412" Properties=species:S:1:pos:R:3 pbc="T T T"
Pm 2.2413 0.0000 0.0000
Pm 8.3402 0.0000 0.0000
Pm 5.2907 1.8498 0.0000
Pm 0.0000 2.2413 0.0000
Pm 1.8498 5.2907 0.0000
Pm 3.4409 0.0000 3.1412
Pm 0.0000 8.3402 0.0000
Pm 0.0000 3.4409 3.1412
Y 0.0000 0.0000 3.1412
Si 2.6454 2.6454 -1.5706
Si 2.6454 -2.6454 1.5706
Si -2.6454 2.6454 1.5706
Si 2.6454 2.6454 1.5706
```

Peak list (10 most intense, 2θ = 10–90°, in order of rising 2θ)
- 23.78°, 3.741 Å, intensity 59
- 28.41°, 3.141 Å, intensity 59
- 29.03°, 3.076 Å, intensity 56
- 33.71°, 2.659 Å, intensity 100
- 33.89°, 2.645 Å, intensity 42
- 37.38°, 2.406 Å, intensity 68
- 37.87°, 2.376 Å, intensity 23
- 53.78°, 1.705 Å, intensity 26
- 60.17°, 1.538 Å, intensity 23
- 60.52°, 1.530 Å, intensity 33

---

Record 4
Rb2BiIrF6: theoretical XRD peak list (λ = 1.5418 Å (Cu Kα)), based on the GGA-PBE geometry in Alexandria.

Structural model:
```
10
Lattice="-3.0563 3.0563 5.8761 3.0563 -3.0563 5.8761 3.0563 3.0563 -5.8761" Properties=species:S:1:pos:R:3 pbc="T T T"
Rb 3.0563 0.0000 2.9381
Rb 0.0000 3.0563 2.9381
Bi 0.0000 0.0000 0.0000
Ir 0.0000 0.0000 5.8761
F 0.0000 0.0000 2.2529
F 1.5965 1.5965 0.0000
F 1.4598 -1.4598 5.8761
F -1.4598 1.4598 5.8761
F 1.4598 1.4598 5.8761
F 0.0000 0.0000 9.4993
```

Peak list (10 most intense, 2θ = 10–90°, in order of rising 2θ)
- 15.08°, 5.876 Å, intensity 21
- 20.55°, 4.322 Å, intensity 20
- 25.58°, 3.482 Å, intensity 100
- 29.22°, 3.056 Å, intensity 35
- 30.42°, 2.938 Å, intensity 24
- 41.80°, 2.161 Å, intensity 22
- 42.69°, 2.118 Å, intensity 22
- 49.65°, 1.836 Å, intensity 34
- 51.20°, 1.784 Å, intensity 19
- 52.57°, 1.741 Å, intensity 20

---

Record 5
Dy3TlPd12: theoretical XRD peak list (λ = 1.5418 Å (Cu Kα)), based on the GGA-PBE geometry in Alexandria.

Structural model:
```
16
Lattice="4.1188 0.0000 0.0000 0.0000 4.1188 0.0000 0.0000 0.0000 16.4227" Properties=species:S:1:pos:R:3 pbc="T T T"
Dy 0.0000 0.0000 0.0000
Dy 0.0000 0.0000 4.1358
Dy 0.0000 0.0000 12.2869
Tl 0.0000 0.0000 8.2113
Pd 0.0000 2.0594 2.0597
Pd 0.0000 2.0594 6.1778
Pd 0.0000 2.0594 10.2448
Pd 0.0000 2.0594 14.3629
Pd 2.0594 0.0000 2.0597
Pd 2.0594 0.0000 6.1778
Pd 2.0594 0.0000 10.2448
Pd 2.0594 0.0000 14.3629
Pd 2.0594 2.0594 0.0000
Pd 2.0594 2.0594 4.1222
Pd 2.0594 2.0594 8.2113
Pd 2.0594 2.0594 12.3005
```

Peak list (10 most intense, 2θ = 10–90°, in order of rising 2θ)
- 21.60°, 4.114 Å, intensity 5
- 30.73°, 2.909 Å, intensity 4
- 37.87°, 2.375 Å, intensity 100
- 43.97°, 2.059 Å, intensity 33
- 44.12°, 2.053 Å, intensity 16
- 63.93°, 1.456 Å, intensity 11
- 64.04°, 1.454 Å, intensity 21
- 76.77°, 1.242 Å, intensity 25
- 76.98°, 1.239 Å, intensity 12
- 80.94°, 1.188 Å, intensity 11

---

Record 6
Er2Re3Si5: theoretical XRD peak list (λ = 1.5418 Å (Cu Kα)), based on the GGA-PBE geometry in Alexandria.

Structural model:
```
40
Lattice="10.9779 0.0000 0.0000 0.0000 10.9779 0.0000 0.0000 0.0000 5.4823" Properties=species:S:1:pos:R:3 pbc="T T T"
Er 0.8519 2.6021 0.0000
Er 2.6021 10.1260 0.0000
Er 2.8868 4.6370 2.7412
Er 4.6370 8.0910 2.7412
Er 6.3409 2.8868 2.7412
Er 8.0910 6.3409 2.7412
Er 8.3758 0.8519 0.0000
Er 10.1260 8.3758 0.0000
Re 0.0000 5.4889 1.3706
Re 0.0000 5.4889 4.1117
Re 1.3488 9.3646 2.7412
Re 1.6133 1.3488 2.7412
Re 3.8757 6.8378 0.0000
Re 4.1401 3.8757 0.0000
Re 5.4889 0.0000 1.3706
Re 5.4889 0.0000 4.1117
Re 6.8378 7.1022 0.0000
Re 7.1022 4.1401 0.0000
Re 9.3646 9.6291 2.7412
Re 9.6291 1.6133 2.7412
Si 0.0000 0.0000 1.3075
Si 0.0000 0.0000 4.1748
Si 0.3230 3.4433 2.7412
Si 1.8932 7.3821 1.3706
Si 1.8932 7.3821 4.1117
Si 2.0456 5.1659 0.0000
Si 3.4433 10.6549 2.7412
Si 3.5958 1.8932 1.3706
Si 3.5958 1.8932 4.1117
Si 5.1659 8.9323 0.0000
Si 5.4889 5.4889 1.4337
Si 5.4889 5.4889 4.0486
Si 5.8120 2.0456 0.0000
Si 7.3821 9.0847 1.3706
Si 7.3821 9.0847 4.1117
Si 7.5346 0.3230 2.7412
Si 8.9323 5.8120 0.0000
Si 9.0847 3.5958 1.3706
Si 9.0847 3.5958 4.1117
Si 10.6549 7.5346 2.7412
```

Peak list (10 most intense, 2θ = 10–90°, in order of rising 2θ)
- 25.66°, 3.472 Å, intensity 97
- 30.48°, 2.933 Å, intensity 88
- 34.71°, 2.585 Å, intensity 43
- 36.62°, 2.454 Å, intensity 83
- 37.56°, 2.395 Å, intensity 100
- 40.27°, 2.239 Å, intensity 73
- 44.45°, 2.038 Å, intensity 42
- 46.83°, 1.940 Å, intensity 44
- 48.37°, 1.882 Å, intensity 36
- 61.52°, 1.507 Å, intensity 51

---

Record 7
NpPS4I: theoretical XRD peak list (λ = 1.5418 Å (Cu Kα)), based on the GGA-PBE geometry in Alexandria.

Structural model:
```
14
Lattice="5.7185 -4.2719 0.0000 5.7185 4.2719 0.0000 -1.7932 0.0000 7.5784" Properties=species:S:1:pos:R:3 pbc="T T T"
Np 2.3807 0.0000 1.0139
Np 7.2631 0.0000 6.5645
P 2.8632 0.0000 5.5381
P 6.7806 0.0000 2.0403
S 2.1516 1.5324 6.8120
S 1.8423 0.0000 3.7818
S 4.7764 0.0000 2.3086
S 7.4922 1.5324 0.7664
S 2.1516 -1.5324 6.8120
S 4.8674 0.0000 5.2698
S 7.8015 0.0000 3.7966
S 7.4922 -1.5324 0.7664
I -1.1062 0.0000 5.8908
I 10.7500 0.0000 1.6877
```

Peak list (10 most intense, 2θ = 10–90°, in order of rising 2θ)
- 11.68°, 7.578 Å, intensity 68
- 16.28°, 5.445 Å, intensity 49
- 20.79°, 4.272 Å, intensity 100
- 26.34°, 3.384 Å, intensity 35
- 28.56°, 3.126 Å, intensity 39
- 31.42°, 2.847 Å, intensity 60
- 35.51°, 2.528 Å, intensity 23
- 38.62°, 2.331 Å, intensity 28
- 41.55°, 2.174 Å, intensity 40
- 43.68°, 2.072 Å, intensity 23

---

Record 8
La5NdCd2: theoretical XRD peak list (λ = 1.5418 Å (Cu Kα)), based on the GGA-PBE geometry in Alexandria.

Structural model:
```
16
Lattice="7.1389 0.0000 0.0000 0.0000 14.2687 0.0000 0.0000 0.0000 5.0714" Properties=species:S:1:pos:R:3 pbc="T T T"
La 0.0000 0.0000 0.0000
La 0.0424 3.5495 0.0000
La 1.7365 5.3699 2.5357
La 1.8329 12.5043 2.5357
La 3.5271 10.6839 0.0000
La 3.5694 7.1344 0.0000
La 3.6118 3.5849 0.0000
La 5.3060 1.7644 2.5357
La 5.4023 8.8988 2.5357
La 7.0965 10.7192 0.0000
Nd 0.0000 7.1344 0.0000
Nd 3.5694 0.0000 0.0000
Cd 1.7699 8.9037 2.5357
Cd 1.7995 1.7694 2.5357
Cd 5.3394 12.4994 2.5357
Cd 5.3689 5.3650 2.5357
```

Peak list (10 most intense, 2θ = 10–90°, in order of rising 2θ)
- 30.63°, 2.918 Å, intensity 100
- 35.40°, 2.536 Å, intensity 17
- 35.58°, 2.523 Å, intensity 33
- 51.07°, 1.789 Å, intensity 24
- 51.20°, 1.784 Å, intensity 12
- 60.61°, 1.528 Å, intensity 14
- 60.85°, 1.522 Å, intensity 27
- 63.79°, 1.459 Å, intensity 12
- 83.26°, 1.160 Å, intensity 11
- 86.11°, 1.129 Å, intensity 8

---

Record 9
Ir4Pt: theoretical XRD peak list (λ = 1.5418 Å (Cu Kα)), based on the GGA-PBE geometry in Alexandria.

Structural model:
```
5
Lattice="-1.3769 1.9402 6.8977 1.3769 -1.9402 6.8977 1.3769 1.9402 -6.8977" Properties=species:S:1:pos:R:3 pbc="T T T"
Ir 0.0000 0.0000 1.4146
Ir 0.0000 0.0000 4.1244
Ir 0.0000 0.0000 9.6710
Ir 0.0000 0.0000 12.3808
Pt 0.0000 0.0000 6.8977
```

Peak list (10 most intense, 2θ = 10–90°, in order of rising 2θ)
- 40.13°, 2.247 Å, intensity 100
- 46.60°, 1.949 Å, intensity 33
- 46.82°, 1.940 Å, intensity 16
- 68.10°, 1.377 Å, intensity 5
- 68.20°, 1.375 Å, intensity 21
- 81.97°, 1.175 Å, intensity 13
- 82.07°, 1.174 Å, intensity 13
- 82.35°, 1.171 Å, intensity 13
- 86.58°, 1.124 Å, intensity 6
- 86.72°, 1.123 Å, intensity 6

---

Record 10
CeNd5Ho12: theoretical XRD peak list (λ = 1.5418 Å (Cu Kα)), based on the GGA-PBE geometry in Alexandria.

Structural model:
```
18
Lattice="9.2733 -5.3484 0.0000 9.2733 5.3484 0.0000 -2.0433 0.0000 5.8333" Properties=species:S:1:pos:R:3 pbc="T T T"
Ce 0.0000 0.0000 0.0000
Nd 2.0557 0.0000 2.8824
Nd 4.1376 0.0000 5.8315
Nd 8.2516 0.0000 2.9167
Nd 12.3657 0.0000 0.0018
Nd 14.4476 0.0000 2.9509
Ho 6.1984 3.5561 0.0008
Ho 5.1598 1.7956 2.9182
Ho 8.2516 3.5716 2.9167
Ho 9.2733 1.8203 0.0000
Ho 10.3048 3.5561 5.8325
Ho 11.3435 1.7956 2.9151
Ho 5.1598 -1.7956 2.9182
Ho 6.1984 -3.5561 0.0008
Ho 9.2733 -1.8203 0.0000
Ho 8.2516 -3.5716 2.9167
Ho 11.3435 -1.7956 2.9151
Ho 10.3048 -3.5561 5.8325
```

Peak list (10 most intense, 2θ = 10–90°, in order of rising 2θ)
- 30.68°, 2.914 Å, intensity 100
- 35.57°, 2.524 Å, intensity 51
- 51.08°, 1.788 Å, intensity 6
- 51.21°, 1.784 Å, intensity 30
- 60.79°, 1.524 Å, intensity 14
- 60.91°, 1.521 Å, intensity 28
- 63.82°, 1.458 Å, intensity 6
- 63.96°, 1.456 Å, intensity 6
- 83.56°, 1.157 Å, intensity 9
- 86.24°, 1.128 Å, intensity 8

---

Record 11
Ti5Al5Rh: theoretical XRD peak list (λ = 1.5418 Å (Cu Kα)), based on the GGA-PBE geometry in Alexandria.

Structural model:
```
11
Lattice="2.2453 -6.8730 0.0000 2.2453 6.8730 0.0000 0.0000 0.0000 5.9787" Properties=species:S:1:pos:R:3 pbc="T T T"
Ti 0.0000 0.0000 0.0000
Ti 2.2453 1.8793 1.3282
Ti 2.2453 1.8793 4.6504
Ti 2.2453 -1.8793 1.3282
Ti 2.2453 -1.8793 4.6504
Al 2.2453 4.2917 2.9893
Al 2.2453 4.2085 0.0000
Al 2.2453 0.0000 2.9893
Al 2.2453 -4.2085 0.0000
Al 2.2453 -4.2917 2.9893
Rh 0.0000 0.0000 2.9893
```

Peak list (10 most intense, 2θ = 10–90°, in order of rising 2θ)
- 12.88°, 6.873 Å, intensity 20
- 19.68°, 4.511 Å, intensity 27
- 27.82°, 3.207 Å, intensity 49
- 36.70°, 2.449 Å, intensity 100
- 38.39°, 2.345 Å, intensity 52
- 39.33°, 2.291 Å, intensity 28
- 39.97°, 2.255 Å, intensity 63
- 40.16°, 2.245 Å, intensity 55
- 57.47°, 1.604 Å, intensity 17
- 57.96°, 1.591 Å, intensity 39